Theoretical XRD peak list of CsMg6Sn for λ = 1.5418 Å (Cu Kα), from the PBE geometry in the Materials Project.

Crystal structure
```
8
Lattice="4.9818 0.0000 0.0000 0.0000 3.7107 6.4380 0.0000 -3.7107 6.4380" Properties=species:S:1:pos:R:3 pbc="T T T"
Cs 0.0000 0.0000 0.0000
Mg 0.0000 -1.7869 3.2073
Mg 0.0000 1.7869 3.2073
Mg 0.0000 0.0000 6.3874
Mg 2.4909 -1.4764 5.1382
Mg 2.4909 1.4764 5.1382
Mg 2.4909 0.0000 8.5041
Sn 2.4909 0.0000 2.5183
```

Principal peaks in the range 10 to 90 degrees two-theta, in order of falling intensity:
d (Å)	Position (°2θ)	I/Imax
2.702	33.16	100.0
6.430	13.77	61.9
3.939	22.57	59.5
1.969	46.09	28.3
3.217	27.73	27.1
2.432	36.97	26.6